[1]
Theoretical XRD peak list of Li2Ni2N for copper Kα, from a cell relaxed with GGA-PBE.
Intensities are scaled so that the largest is 100.

Largest 6 diffraction maxima, by intensity, 2θ = 10–90°:
| 2θ (°) | I/Imax |
| --- | --- |
| 22.5 | 100 |
| 41.4 | 70 |
| 34.3 | 42 |
| 54.8 | 31 |
| 49.2 | 29 |
| 69.6 | 19 |

Cell and atoms:
```
Li2Ni2N
1.0
3.7010 0.0000 0.0000
0.0000 3.7010 0.0000
0.0000 0.0000 3.9503
Li Ni N
2 2 1
Direct
0.0000 0.0000 0.0000 Li
0.5000 0.5000 0.0000 Li
0.0000 0.5000 0.5000 Ni
0.5000 0.0000 0.5000 Ni
0.0000 0.0000 0.5000 N
```



[2]
Theoretical XRD peak list of K3RuF8 for copper Kα, from a cell relaxed with GGA-PBE.
Intensities are scaled so that the largest is 100.

Largest 6 diffraction maxima, by intensity, 2θ = 10–90°:
| 2θ (°) | I/Imax |
| --- | --- |
| 26.5 | 100 |
| 17.0 | 57 |
| 44.3 | 48 |
| 51.7 | 25 |
| 43.6 | 24 |
| 15.5 | 19 |

Cell and atoms:
```
K3RuF8
1.0
-2.9385 2.9385 5.7043
2.9385 -2.9385 5.7043
2.9385 2.9385 -5.7043
K Ru F
3 1 8
Direct
0.0000 0.0000 0.0000 K
0.2500 0.7500 0.5000 K
0.7500 0.2500 0.5000 K
0.5000 0.5000 0.0000 Ru
0.1963 0.1963 0.5990 F
0.1963 0.5973 0.0000 F
0.4027 0.4027 0.5990 F
0.4027 0.8037 0.0000 F
0.5973 0.1963 0.0000 F
0.5973 0.5973 0.4010 F
0.8037 0.4027 0.0000 F
0.8037 0.8037 0.4010 F
```



[3]
Theoretical XRD peak list of Re2NiAs for copper Kα, from a cell relaxed with GGA-PBE.
Intensities are scaled so that the largest is 100.

Largest 6 diffraction maxima, by intensity, 2θ = 10–90°:
| 2θ (°) | I/Imax |
| --- | --- |
| 42.0 | 100 |
| 10.1 | 67 |
| 39.0 | 31 |
| 41.1 | 25 |
| 72.7 | 20 |
| 57.9 | 19 |

Cell and atoms:
```
Re2NiAs
1.0
1.4582 -2.3112 0.0000
1.4582 2.3112 0.0000
0.0000 0.0000 8.7902
Re Ni As
2 1 1
Direct
0.0000 0.0000 0.0000 Re
0.5000 0.5000 0.2472 Re
0.5000 0.5000 0.7560 Ni
0.0000 0.0000 0.5258 As
```



[4]
Theoretical XRD peak list of K5ClF4 for copper Kα, from a cell relaxed with GGA-PBE.
Intensities are scaled so that the largest is 100.

Largest 6 diffraction maxima, by intensity, 2θ = 10–90°:
| 2θ (°) | I/Imax |
| --- | --- |
| 32.0 | 100 |
| 31.4 | 54 |
| 45.7 | 46 |
| 45.1 | 29 |
| 46.0 | 17 |
| 56.7 | 15 |

Cell and atoms:
```
K5ClF4
1.0
6.5588 -1.9738 0.0000
6.5588 1.9738 0.0000
-4.7765 0.0000 8.6289
K Cl F
5 1 4
Direct
0.0000 0.0000 0.0000 K
0.2083 0.2083 0.8192 K
0.3903 0.3903 0.6251 K
0.6097 0.6097 0.3749 K
0.7917 0.7917 0.1808 K
0.0000 0.0000 0.5000 Cl
0.1964 0.1964 0.2831 F
0.4019 0.4019 0.0946 F
0.5981 0.5981 0.9054 F
0.8036 0.8036 0.7169 F
```



[5]
Theoretical XRD peak list of PmAg2Hg4 for copper Kα, from a cell relaxed with GGA-PBE.
Intensities are scaled so that the largest is 100.

Largest 6 diffraction maxima, by intensity, 2θ = 10–90°:
| 2θ (°) | I/Imax |
| --- | --- |
| 35.8 | 100 |
| 36.9 | 57 |
| 65.8 | 34 |
| 53.2 | 26 |
| 25.9 | 16 |
| 63.7 | 15 |

Cell and atoms:
```
PmAg2Hg4
1.0
4.8737 0.0000 0.0000
0.0000 4.8737 0.0000
0.0000 0.0000 7.2967
Pm Ag Hg
1 2 4
Direct
0.0000 0.0000 0.0000 Pm
0.0000 0.0000 0.5000 Ag
0.5000 0.5000 0.0000 Ag
0.0000 0.5000 0.2790 Hg
0.0000 0.5000 0.7210 Hg
0.5000 0.0000 0.2790 Hg
0.5000 0.0000 0.7210 Hg
```



[6]
Theoretical XRD peak list of Zn2Ge3O8 for copper Kα, from a cell relaxed with GGA-PBE.
Intensities are scaled so that the largest is 100.

Largest 6 diffraction maxima, by intensity, 2θ = 10–90°:
| 2θ (°) | I/Imax |
| --- | --- |
| 35.7 | 100 |
| 63.0 | 42 |
| 57.4 | 37 |
| 30.3 | 36 |
| 23.8 | 24 |
| 15.0 | 16 |

Cell and atoms:
```
Zn2Ge3O8
1.0
8.3468 0.0000 0.0000
0.0000 8.3468 0.0000
0.0000 0.0000 8.3468
Zn Ge O
8 12 32
Direct
0.0023 0.0023 0.0023 Zn
0.2477 0.2477 0.2477 Zn
0.2523 0.7523 0.7477 Zn
0.4977 0.9977 0.5023 Zn
0.5023 0.4977 0.9977 Zn
0.7477 0.2523 0.7523 Zn
0.7523 0.7477 0.2523 Zn
0.9977 0.5023 0.4977 Zn
0.1213 0.6250 0.1287 Ge
0.1250 0.3713 0.8787 Ge
0.1287 0.1213 0.6250 Ge
0.3713 0.8787 0.1250 Ge
0.3750 0.6287 0.3787 Ge
0.3787 0.3750 0.6287 Ge
0.6213 0.8750 0.8713 Ge
0.6250 0.1287 0.1213 Ge
0.6287 0.3787 0.3750 Ge
0.8713 0.6213 0.8750 Ge
0.8750 0.8713 0.6213 Ge
0.8787 0.1250 0.3713 Ge
0.0979 0.1399 0.3957 O
0.1043 0.9021 0.6399 O
0.1101 0.1521 0.8543 O
0.1121 0.6121 0.8879 O
0.1379 0.3621 0.6379 O
0.1399 0.3957 0.0979 O
0.1457 0.6101 0.3479 O
0.1521 0.8543 0.1101 O
0.3479 0.1457 0.6101 O
0.3543 0.3899 0.8479 O
0.3601 0.6043 0.5979 O
0.3621 0.6379 0.1379 O
0.3879 0.3879 0.3879 O
0.3899 0.8479 0.3543 O
0.3957 0.0979 0.1399 O
0.4021 0.8601 0.8957 O
0.5979 0.3601 0.6043 O
0.6043 0.5979 0.3601 O
0.6101 0.3479 0.1457 O
0.6121 0.8879 0.1121 O
0.6379 0.1379 0.3621 O
0.6399 0.1043 0.9021 O
0.6457 0.8899 0.6521 O
0.6521 0.6457 0.8899 O
0.8479 0.3543 0.3899 O
0.8543 0.1101 0.1521 O
0.8601 0.8957 0.4021 O
0.8621 0.8621 0.8621 O
0.8879 0.1121 0.6121 O
0.8899 0.6521 0.6457 O
0.8957 0.4021 0.8601 O
0.9021 0.6399 0.1043 O
```



[7]
Theoretical XRD peak list of Tb11O20 for copper Kα, from a cell relaxed with GGA-PBE.
Intensities are scaled so that the largest is 100.

Largest 6 diffraction maxima, by intensity, 2θ = 10–90°:
| 2θ (°) | I/Imax |
| --- | --- |
| 28.4 | 100 |
| 28.5 | 50 |
| 28.3 | 50 |
| 48.2 | 30 |
| 33.1 | 22 |
| 31.6 | 22 |

Cell and atoms:
```
Tb11O20
1.0
6.5963 0.0000 0.0000
-1.1303 6.5519 0.0000
-0.5999 -0.8137 10.2867
Tb O
11 20
Direct
0.0000 0.0000 0.0000 Tb
0.1284 0.5434 0.1704 Tb
0.1801 0.0990 0.3664 Tb
0.2775 0.6292 0.5214 Tb
0.3713 0.1449 0.7232 Tb
0.4674 0.7322 0.9254 Tb
0.5326 0.2678 0.0746 Tb
0.6287 0.8551 0.2768 Tb
0.7225 0.3708 0.4786 Tb
0.8199 0.9010 0.6336 Tb
0.8716 0.4566 0.8296 Tb
0.0277 0.4228 0.3687 O
0.0445 0.1722 0.7970 O
0.1212 0.6693 0.9649 O
0.1495 0.9269 0.5714 O
0.2108 0.2150 0.1635 O
0.2859 0.7896 0.3323 O
0.3296 0.0354 0.9290 O
0.3678 0.3146 0.5356 O
0.4649 0.8173 0.7056 O
0.4698 0.5899 0.1281 O
0.5302 0.4101 0.8719 O
0.5351 0.1827 0.2944 O
0.6322 0.6854 0.4644 O
0.6704 0.9646 0.0710 O
0.7141 0.2104 0.6677 O
0.7892 0.7850 0.8365 O
0.8505 0.0731 0.4286 O
0.8788 0.3307 0.0351 O
0.9555 0.8278 0.2030 O
0.9723 0.5772 0.6313 O
```



[8]
Theoretical XRD peak list of La5Y2Ho for copper Kα, from a cell relaxed with GGA-PBE.
Intensities are scaled so that the largest is 100.

Largest 6 diffraction maxima, by intensity, 2θ = 10–90°:
| 2θ (°) | I/Imax |
| --- | --- |
| 31.6 | 100 |
| 31.4 | 66 |
| 32.1 | 39 |
| 27.6 | 32 |
| 55.9 | 20 |
| 44.9 | 17 |

Cell and atoms:
```
La5Y2Ho
1.0
2.8529 -6.0804 0.0000
2.8529 6.0804 0.0000
0.0000 0.0000 16.5345
La Y Ho
10 4 2
Direct
0.0293 0.9707 0.7500 La
0.1118 0.8882 0.0531 La
0.1118 0.8882 0.4469 La
0.4214 0.5786 0.0931 La
0.4214 0.5786 0.4069 La
0.5786 0.4214 0.5931 La
0.5786 0.4214 0.9069 La
0.8882 0.1118 0.5531 La
0.8882 0.1118 0.9469 La
0.9707 0.0293 0.2500 La
0.2745 0.7255 0.6359 Y
0.2745 0.7255 0.8641 Y
0.7255 0.2745 0.1359 Y
0.7255 0.2745 0.3641 Y
0.2503 0.7497 0.2500 Ho
0.7497 0.2503 0.7500 Ho
```



[9]
Theoretical XRD peak list of CeEr2ZrP4 for copper Kα, from a cell relaxed with GGA-PBE.
Intensities are scaled so that the largest is 100.

Largest 6 diffraction maxima, by intensity, 2θ = 10–90°:
| 2θ (°) | I/Imax |
| --- | --- |
| 32.2 | 100 |
| 27.8 | 79 |
| 46.1 | 48 |
| 46.2 | 24 |
| 54.7 | 22 |
| 57.4 | 19 |

Cell and atoms:
```
CeEr2ZrP4
1.0
6.7992 0.0000 0.0000
0.0000 3.9320 0.0000
-2.2538 0.0000 6.4335
Ce Er Zr P
1 2 1 4
Direct
0.0000 0.0000 0.0000 Ce
0.5000 0.0000 0.5000 Er
0.5000 0.5000 0.0000 Er
0.0000 0.5000 0.5000 Zr
0.2428 0.0000 0.7396 P
0.2493 0.5000 0.2592 P
0.7507 0.5000 0.7408 P
0.7572 0.0000 0.2604 P
```



[10]
Theoretical XRD peak list of La4Ag5Sb7 for copper Kα, from a cell relaxed with GGA-PBE.
Intensities are scaled so that the largest is 100.

Largest 6 diffraction maxima, by intensity, 2θ = 10–90°:
| 2θ (°) | I/Imax |
| --- | --- |
| 33.1 | 100 |
| 40.9 | 35 |
| 69.6 | 22 |
| 32.9 | 14 |
| 53.4 | 14 |
| 26.0 | 13 |

Cell and atoms:
```
La4Ag5Sb7
1.0
-3.1194 3.1194 10.9032
3.1194 -3.1194 10.9032
3.1194 3.1194 -10.9032
La Ag Sb
4 5 7
Direct
0.1247 0.6354 0.0000 La
0.3646 0.3646 0.4893 La
0.6354 0.1247 0.0000 La
0.8753 0.8753 0.5107 La
0.2489 0.2489 0.0000 Ag
0.2500 0.7500 0.5000 Ag
0.5000 0.5000 0.0000 Ag
0.7500 0.2500 0.5000 Ag
0.7511 0.7511 0.0000 Ag
0.0000 0.0000 0.0000 Sb
0.0000 0.5000 0.5000 Sb
0.0912 0.0912 0.5083 Sb
0.4171 0.9088 0.0000 Sb
0.5000 0.0000 0.5000 Sb
0.5829 0.5829 0.4917 Sb
0.9088 0.4171 0.0000 Sb
```



[11]
Theoretical XRD peak list of Ac2Nd4Er3 for copper Kα, from a cell relaxed with GGA-PBE.
Intensities are scaled so that the largest is 100.

Largest 6 diffraction maxima, by intensity, 2θ = 10–90°:
| 2θ (°) | I/Imax |
| --- | --- |
| 29.6 | 100 |
| 29.7 | 99 |
| 34.3 | 68 |
| 58.5 | 44 |
| 49.2 | 37 |
| 34.5 | 33 |

Cell and atoms:
```
Ac2Nd4Er3
1.0
5.8517 -2.6211 0.0000
5.8517 2.6211 0.0000
-3.5190 0.0000 10.4586
Ac Nd Er
2 4 3
Direct
0.1666 0.1666 0.2255 Ac
0.8334 0.8334 0.7745 Ac
0.1664 0.1664 0.8876 Nd
0.4979 0.4979 0.6626 Nd
0.5021 0.5021 0.3374 Nd
0.8336 0.8336 0.1124 Nd
0.1625 0.1625 0.5537 Er
0.5000 0.5000 0.0000 Er
0.8375 0.8375 0.4463 Er
```